Starting from the PBE+U geometry in Alexandria, the powder diffractogram of AgSbWO7 was calculated for Cu Kα, 1.54184 Å.
No peak broadening, texture or thermal motion is included.

Cell: 7.392 7.392 7.392 Å, 120.67 119.94 89.48°
Atoms (fractional coordinates):
Ag 0.500 0.000 0.000
Ag 0.500 0.500 0.500
Sb 0.000 0.000 0.000
Sb 0.500 0.000 0.500
W 0.000 0.000 0.500
W 0.000 0.500 0.000
O 0.056 0.306 0.750
O 0.066 0.319 0.130
O 0.066 0.936 0.746
O 0.311 0.064 0.630
O 0.311 0.681 0.246
O 0.326 0.076 0.250
O 0.418 0.668 0.750
O 0.582 0.332 0.250
O 0.674 0.924 0.750
O 0.689 0.319 0.754
O 0.689 0.936 0.370
O 0.934 0.064 0.254
O 0.934 0.681 0.870
O 0.944 0.694 0.250

Peak list (10 most intense, 10 to 90 degrees two-theta, low angle first)
d [Å]  I_rel
6.004  58
5.251  37
3.150  22
3.024  100
3.002  88
2.625  21
2.601  40
1.848  69
1.575  26
1.565  27